Record 1
Simulated X-ray diffraction stick pattern of K4Rb3O4 for Cu Kα X-rays, from DFT lattice parameters and positions (PBE).

Main lines, in order of rising 2θ (2θ = 10–80°):
2θ = 23.13°, I 47
2θ = 25.52°, I 33
2θ = 27.39°, I 45
2θ = 28.80°, I 25
2θ = 29.03°, I 53
2θ = 30.28°, I 100
2θ = 34.71°, I 60
2θ = 37.78°, I 19
2θ = 40.00°, I 47
2θ = 44.92°, I 22
2θ = 45.05°, I 25
2θ = 54.47°, I 25

Structural model:
```
data_K4Rb3O4
_cell_length_a 10.471
_cell_length_b 6.817
_cell_length_c 6.817
_cell_angle_alpha 34.34
_cell_angle_beta 90.00
_cell_angle_gamma 90.00
_space_group_name_H-M_alt 'P 1'
_space_group_IT_number 1
loop_
_space_group_symop_operation_xyz
'x,y,z'
loop_
_atom_site_label
_atom_site_fract_x
_atom_site_fract_y
_atom_site_fract_z
K1 0.000 0.000 0.000
K2 0.243 0.438 0.438
K3 0.500 0.971 0.971
K4 0.757 0.438 0.438
Rb1 0.000 0.728 0.728
Rb2 0.337 0.706 0.706
Rb3 0.663 0.706 0.706
O1 0.000 0.366 0.366
O2 0.255 0.069 0.069
O3 0.500 0.336 0.336
O4 0.745 0.069 0.069
```

---

Record 2
Simulated X-ray diffraction stick pattern of KRb2O for Cu Kα X-rays, from DFT lattice parameters and positions (PBE).

Main lines, in order of rising 2θ (2θ = 10–80°):
2θ = 11.65°, I 95
2θ = 23.34°, I 63
2θ = 24.54°, I 27
2θ = 27.17°, I 100
2θ = 30.89°, I 35
2θ = 32.02°, I 63
2θ = 33.12°, I 15
2θ = 33.30°, I 32
2θ = 39.84°, I 15
2θ = 45.09°, I 45
2θ = 50.27°, I 16
2θ = 52.70°, I 15

Structural model:
```
data_KRb2O
_cell_length_a 4.128
_cell_length_b 8.128
_cell_length_c 8.128
_cell_angle_alpha 41.73
_cell_angle_beta 90.00
_cell_angle_gamma 90.00
_space_group_name_H-M_alt 'P 1'
_space_group_IT_number 1
loop_
_space_group_symop_operation_xyz
'x,y,z'
loop_
_atom_site_label
_atom_site_fract_x
_atom_site_fract_y
_atom_site_fract_z
K1 0.000 0.000 0.000
Rb1 0.000 0.235 0.235
Rb2 0.500 0.607 0.607
O1 0.500 0.111 0.111
```

---

Record 3
Simulated X-ray diffraction stick pattern of K3Rb2O3 for Cu Kα X-rays, from DFT lattice parameters and positions (PBE).

Main lines, in order of rising 2θ (2θ = 10–80°):
2θ = 13.02°, I 38
2θ = 18.12°, I 32
2θ = 19.30°, I 26
2θ = 25.97°, I 32
2θ = 26.94°, I 100
2θ = 27.11°, I 18
2θ = 32.90°, I 35
2θ = 33.21°, I 23
2θ = 34.16°, I 50
2θ = 37.26°, I 25
2θ = 40.17°, I 18
2θ = 48.15°, I 19

Structural model:
```
data_K3Rb2O3
_cell_length_a 7.290
_cell_length_b 7.290
_cell_length_c 13.470
_cell_angle_alpha 90.53
_cell_angle_beta 90.53
_cell_angle_gamma 42.20
_space_group_name_H-M_alt 'P 1'
_space_group_IT_number 1
loop_
_space_group_symop_operation_xyz
'x,y,z'
loop_
_atom_site_label
_atom_site_fract_x
_atom_site_fract_y
_atom_site_fract_z
K1 0.000 0.000 0.000
K2 0.001 0.001 0.727
K3 0.185 0.185 0.362
K4 0.656 0.656 0.187
K5 0.714 0.714 0.864
K6 0.896 0.896 0.505
Rb1 0.254 0.254 0.036
Rb2 0.255 0.255 0.692
Rb3 0.643 0.643 0.535
Rb4 0.909 0.909 0.236
O1 0.086 0.086 0.544
O2 0.093 0.093 0.176
O3 0.135 0.135 0.863
O4 0.761 0.761 0.362
O5 0.811 0.811 0.049
O6 0.814 0.814 0.682
```

---

Record 4
Simulated X-ray diffraction stick pattern of K9Rb3O2 for Cu Kα X-rays, from DFT lattice parameters and positions (PBE).

Main lines, in order of rising 2θ (2θ = 10–80°):
2θ = 16.36°, I 34
2θ = 18.83°, I 22
2θ = 21.78°, I 16
2θ = 24.58°, I 24
2θ = 25.05°, I 100
2θ = 28.94°, I 12
2θ = 33.07°, I 16
2θ = 35.24°, I 12
2θ = 38.20°, I 13
2θ = 38.33°, I 18
2θ = 41.81°, I 18
2θ = 43.56°, I 16

Structural model:
```
data_K9Rb3O2
_cell_length_a 11.886
_cell_length_b 11.886
_cell_length_c 11.886
_cell_angle_alpha 86.74
_cell_angle_beta 86.74
_cell_angle_gamma 86.74
_space_group_name_H-M_alt 'P 1'
_space_group_IT_number 1
loop_
_space_group_symop_operation_xyz
'x,y,z'
loop_
_atom_site_label
_atom_site_fract_x
_atom_site_fract_y
_atom_site_fract_z
K1 0.033 0.763 0.906
K2 0.094 0.967 0.237
K3 0.130 0.250 0.370
K4 0.237 0.094 0.967
K5 0.250 0.370 0.130
K6 0.263 0.533 0.406
K7 0.370 0.130 0.250
K8 0.406 0.263 0.533
K9 0.467 0.594 0.737
K10 0.533 0.406 0.263
K11 0.594 0.737 0.467
K12 0.630 0.870 0.750
K13 0.737 0.467 0.594
K14 0.750 0.630 0.870
K15 0.763 0.906 0.033
K16 0.870 0.750 0.630
K17 0.906 0.033 0.763
K18 0.967 0.237 0.094
Rb1 0.097 0.403 0.750
Rb2 0.250 0.903 0.597
Rb3 0.403 0.750 0.097
Rb4 0.597 0.250 0.903
Rb5 0.750 0.097 0.403
Rb6 0.903 0.597 0.250
O1 0.164 0.164 0.164
O2 0.336 0.336 0.336
O3 0.664 0.664 0.664
O4 0.836 0.836 0.836
```

---

Record 5
Simulated X-ray diffraction stick pattern of K4Rb3O4 for Cu Kα X-rays, from DFT lattice parameters and positions (PBE).

Main lines, in order of rising 2θ (2θ = 10–80°):
2θ = 22.60°, I 15
2θ = 25.21°, I 18
2θ = 27.97°, I 16
2θ = 31.12°, I 49
2θ = 32.01°, I 100
2θ = 33.97°, I 67
2θ = 36.57°, I 15
2θ = 38.22°, I 24
2θ = 44.52°, I 22
2θ = 47.24°, I 15
2θ = 54.64°, I 20
2θ = 55.32°, I 18

Structural model:
```
data_K4Rb3O4
_cell_length_a 8.906
_cell_length_b 8.906
_cell_length_c 8.906
_cell_angle_alpha 153.58
_cell_angle_beta 126.99
_cell_angle_gamma 60.18
_space_group_name_H-M_alt 'P 1'
_space_group_IT_number 1
loop_
_space_group_symop_operation_xyz
'x,y,z'
loop_
_atom_site_label
_atom_site_fract_x
_atom_site_fract_y
_atom_site_fract_z
K1 0.022 0.827 0.194
K2 0.367 0.173 0.194
K3 0.633 0.827 0.806
K4 0.978 0.173 0.806
Rb1 0.000 0.500 0.500
Rb2 0.399 0.399 0.000
Rb3 0.601 0.601 0.000
O1 0.237 0.737 0.500
O2 0.271 0.000 0.271
O3 0.729 0.000 0.729
O4 0.763 0.263 0.500
```

---

Record 6
Simulated X-ray diffraction stick pattern of K2Rb2O for Cu Kα X-rays, from DFT lattice parameters and positions (PBE).

Main lines, in order of rising 2θ (2θ = 10–80°):
2θ = 12.81°, I 17
2θ = 16.33°, I 38
2θ = 22.93°, I 24
2θ = 23.41°, I 24
2θ = 26.74°, I 100
2θ = 33.00°, I 22
2θ = 36.72°, I 13
2θ = 37.34°, I 12
2θ = 39.46°, I 20
2θ = 42.69°, I 14
2θ = 43.25°, I 14
2θ = 57.65°, I 14

Structural model:
```
data_K2Rb2O
_cell_length_a 7.756
_cell_length_b 15.199
_cell_length_c 4.226
_cell_angle_alpha 90.00
_cell_angle_beta 90.00
_cell_angle_gamma 90.00
_space_group_name_H-M_alt 'P 1'
_space_group_IT_number 1
loop_
_space_group_symop_operation_xyz
'x,y,z'
loop_
_atom_site_label
_atom_site_fract_x
_atom_site_fract_y
_atom_site_fract_z
K1 0.157 0.080 0.000
K2 0.343 0.580 0.000
K3 0.657 0.420 0.000
K4 0.843 0.920 0.000
Rb1 0.246 0.373 0.500
Rb2 0.254 0.873 0.500
Rb3 0.746 0.127 0.500
Rb4 0.754 0.627 0.500
O1 0.000 0.000 0.500
O2 0.500 0.500 0.500
```

---

Record 7
Simulated X-ray diffraction stick pattern of K4RbO2 for Cu Kα X-rays, from DFT lattice parameters and positions (PBE).

Main lines, in order of rising 2θ (2θ = 10–80°):
2θ = 12.07°, I 58
2θ = 12.75°, I 100
2θ = 19.85°, I 45
2θ = 24.27°, I 50
2θ = 25.66°, I 63
2θ = 29.74°, I 60
2θ = 30.00°, I 49
2θ = 30.61°, I 42
2θ = 31.75°, I 67
2θ = 33.71°, I 39
2θ = 41.78°, I 37
2θ = 43.86°, I 41

Structural model:
```
data_K4RbO2
_cell_length_a 9.777
_cell_length_b 9.777
_cell_length_c 7.712
_cell_angle_alpha 113.19
_cell_angle_beta 113.19
_cell_angle_gamma 109.46
_space_group_name_H-M_alt 'P 1'
_space_group_IT_number 1
loop_
_space_group_symop_operation_xyz
'x,y,z'
loop_
_atom_site_label
_atom_site_fract_x
_atom_site_fract_y
_atom_site_fract_z
K1 0.061 0.542 0.118
K2 0.074 0.926 0.500
K3 0.528 0.676 0.602
K4 0.542 0.061 0.618
K5 0.676 0.528 0.102
K6 0.699 0.901 0.284
K7 0.901 0.699 0.784
K8 0.926 0.074 0.000
Rb1 0.094 0.507 0.541
Rb2 0.507 0.094 0.041
O1 0.301 0.801 0.574
O2 0.792 0.810 0.550
O3 0.801 0.301 0.074
O4 0.810 0.792 0.050
```

---

Record 8
Simulated X-ray diffraction stick pattern of KRb4Re3O12 for Cu Kα X-rays, from DFT lattice parameters and positions (PBE).

Main lines, in order of rising 2θ (2θ = 10–80°):
2θ = 14.94°, I 17
2θ = 21.19°, I 16
2θ = 26.03°, I 9
2θ = 30.14°, I 100
2θ = 40.24°, I 4
2θ = 43.15°, I 30
2θ = 48.55°, I 6
2θ = 53.54°, I 40
2θ = 55.91°, I 3
2θ = 62.67°, I 18
2θ = 71.10°, I 18
2θ = 79.13°, I 6

Structural model:
```
data_KRb4Re3O12
_cell_length_a 7.262
_cell_length_b 7.262
_cell_length_c 7.262
_cell_angle_alpha 109.47
_cell_angle_beta 109.47
_cell_angle_gamma 109.47
_space_group_name_H-M_alt 'P 1'
_space_group_IT_number 1
loop_
_space_group_symop_operation_xyz
'x,y,z'
loop_
_atom_site_label
_atom_site_fract_x
_atom_site_fract_y
_atom_site_fract_z
K1 0.000 0.000 0.000
Rb1 0.000 0.000 0.500
Rb2 0.000 0.500 0.000
Rb3 0.500 0.000 0.000
Rb4 0.500 0.500 0.500
Re1 0.000 0.500 0.500
Re2 0.500 0.000 0.500
Re3 0.500 0.500 0.000
O1 0.000 0.286 0.286
O2 0.000 0.714 0.714
O3 0.250 0.500 0.750
O4 0.250 0.750 0.500
O5 0.286 0.000 0.286
O6 0.286 0.286 0.000
O7 0.500 0.250 0.750
O8 0.500 0.750 0.250
O9 0.714 0.000 0.714
O10 0.714 0.714 0.000
O11 0.750 0.250 0.500
O12 0.750 0.500 0.250
```

---

Record 9
Simulated X-ray diffraction stick pattern of KRb3Re2O9 for Cu Kα X-rays, from DFT lattice parameters and positions (PBE).

Main lines, in order of rising 2θ (2θ = 10–80°):
2θ = 11.08°, I 37
2θ = 17.30°, I 19
2θ = 20.59°, I 29
2θ = 28.33°, I 100
2θ = 30.19°, I 79
2θ = 41.88°, I 50
2θ = 48.97°, I 18
2θ = 52.49°, I 35
2θ = 53.63°, I 16
2θ = 62.78°, I 15
2θ = 67.34°, I 16
2θ = 70.27°, I 16

Structural model:
```
data_KRb3Re2O9
_cell_length_a 5.920
_cell_length_b 5.920
_cell_length_c 7.985
_cell_angle_alpha 90.00
_cell_angle_beta 90.00
_cell_angle_gamma 120.00
_space_group_name_H-M_alt 'P 1'
_space_group_IT_number 1
loop_
_space_group_symop_operation_xyz
'x,y,z'
loop_
_atom_site_label
_atom_site_fract_x
_atom_site_fract_y
_atom_site_fract_z
K1 0.000 0.000 0.000
Rb1 0.000 0.000 0.500
Rb2 0.333 0.667 0.191
Rb3 0.667 0.333 0.809
Re1 0.333 0.667 0.652
Re2 0.667 0.333 0.348
O1 0.000 0.500 0.500
O2 0.185 0.370 0.772
O3 0.185 0.815 0.772
O4 0.370 0.185 0.228
O5 0.500 0.000 0.500
O6 0.500 0.500 0.500
O7 0.630 0.815 0.772
O8 0.815 0.185 0.228
O9 0.815 0.630 0.228
```

---

Record 10
Simulated X-ray diffraction stick pattern of KRb3Rh2O6 for Cu Kα X-rays, from DFT lattice parameters and positions (PBE).

Main lines, in order of rising 2θ (2θ = 10–80°):
2θ = 19.30°, I 16
2θ = 23.05°, I 28
2θ = 26.96°, I 100
2θ = 27.88°, I 76
2θ = 35.76°, I 20
2θ = 39.17°, I 42
2θ = 47.62°, I 20
2θ = 48.19°, I 29
2θ = 55.12°, I 25
2θ = 55.57°, I 20
2θ = 63.30°, I 14
2θ = 75.75°, I 15

Structural model:
```
data_KRb3Rh2O6
_cell_length_a 6.615
_cell_length_b 6.615
_cell_length_c 7.716
_cell_angle_alpha 90.00
_cell_angle_beta 90.00
_cell_angle_gamma 120.00
_space_group_name_H-M_alt 'P 1'
_space_group_IT_number 1
loop_
_space_group_symop_operation_xyz
'x,y,z'
loop_
_atom_site_label
_atom_site_fract_x
_atom_site_fract_y
_atom_site_fract_z
K1 0.000 0.000 0.000
Rb1 0.000 0.000 0.500
Rb2 0.333 0.667 0.237
Rb3 0.667 0.333 0.763
Rh1 0.333 0.667 0.759
Rh2 0.667 0.333 0.241
O1 0.176 0.351 0.761
O2 0.176 0.824 0.761
O3 0.351 0.176 0.239
O4 0.649 0.824 0.761
O5 0.824 0.176 0.239
O6 0.824 0.649 0.239
```

---

Record 11
Simulated X-ray diffraction stick pattern of K2Rb3RhO6 for Cu Kα X-rays, from DFT lattice parameters and positions (PBE).

Main lines, in order of rising 2θ (2θ = 10–80°):
2θ = 16.50°, I 14
2θ = 18.41°, I 9
2θ = 29.19°, I 100
2θ = 33.57°, I 32
2θ = 33.95°, I 62
2θ = 48.50°, I 37
2θ = 48.78°, I 18
2θ = 57.36°, I 18
2θ = 57.86°, I 35
2θ = 60.53°, I 12
2θ = 78.57°, I 13
2θ = 78.99°, I 8

Structural model:
```
data_K2Rb3RhO6
_cell_length_a 6.479
_cell_length_b 6.479
_cell_length_c 6.512
_cell_angle_alpha 99.93
_cell_angle_beta 99.93
_cell_angle_gamma 119.60
_space_group_name_H-M_alt 'P 1'
_space_group_IT_number 1
loop_
_space_group_symop_operation_xyz
'x,y,z'
loop_
_atom_site_label
_atom_site_fract_x
_atom_site_fract_y
_atom_site_fract_z
K1 0.167 0.833 0.000
K2 0.833 0.167 0.000
Rb1 0.000 0.000 0.500
Rb2 0.332 0.668 0.500
Rb3 0.668 0.332 0.500
Rh1 0.500 0.500 0.000
O1 0.187 0.437 0.813
O2 0.316 0.316 0.184
O3 0.437 0.187 0.813
O4 0.563 0.813 0.187
O5 0.684 0.684 0.816
O6 0.813 0.563 0.187
```

---

Record 12
Simulated X-ray diffraction stick pattern of KRb2RhO4 for Cu Kα X-rays, from DFT lattice parameters and positions (PBE).

Main lines, in order of rising 2θ (2θ = 10–80°):
2θ = 17.50°, I 14
2θ = 18.37°, I 12
2θ = 26.10°, I 59
2θ = 30.03°, I 100
2θ = 37.24°, I 29
2θ = 48.56°, I 51
2θ = 55.60°, I 19
2θ = 60.64°, I 14
2θ = 62.41°, I 11
2θ = 62.74°, I 11
2θ = 74.98°, I 8
2θ = 75.28°, I 13

Structural model:
```
data_KRb2RhO4
_cell_length_a 6.131
_cell_length_b 6.131
_cell_length_c 6.131
_cell_angle_alpha 112.32
_cell_angle_beta 112.32
_cell_angle_gamma 103.92
_space_group_name_H-M_alt 'P 1'
_space_group_IT_number 1
loop_
_space_group_symop_operation_xyz
'x,y,z'
loop_
_atom_site_label
_atom_site_fract_x
_atom_site_fract_y
_atom_site_fract_z
K1 0.000 0.000 0.000
Rb1 0.250 0.750 0.500
Rb2 0.500 0.500 0.000
Rh1 0.750 0.250 0.500
O1 0.039 0.217 0.482
O2 0.443 0.961 0.177
O3 0.734 0.557 0.518
O4 0.783 0.266 0.823
```

---

Copy entry 6 word for word.
Simulated X-ray diffraction stick pattern of K2Rb2O for Cu Kα X-rays, from DFT lattice parameters and positions (PBE).

Main lines, in order of rising 2θ (2θ = 10–80°):
2θ = 12.81°, I 17
2θ = 16.33°, I 38
2θ = 22.93°, I 24
2θ = 23.41°, I 24
2θ = 26.74°, I 100
2θ = 33.00°, I 22
2θ = 36.72°, I 13
2θ = 37.34°, I 12
2θ = 39.46°, I 20
2θ = 42.69°, I 14
2θ = 43.25°, I 14
2θ = 57.65°, I 14

Structural model:
```
data_K2Rb2O
_cell_length_a 7.756
_cell_length_b 15.199
_cell_length_c 4.226
_cell_angle_alpha 90.00
_cell_angle_beta 90.00
_cell_angle_gamma 90.00
_space_group_name_H-M_alt 'P 1'
_space_group_IT_number 1
loop_
_space_group_symop_operation_xyz
'x,y,z'
loop_
_atom_site_label
_atom_site_fract_x
_atom_site_fract_y
_atom_site_fract_z
K1 0.157 0.080 0.000
K2 0.343 0.580 0.000
K3 0.657 0.420 0.000
K4 0.843 0.920 0.000
Rb1 0.246 0.373 0.500
Rb2 0.254 0.873 0.500
Rb3 0.746 0.127 0.500
Rb4 0.754 0.627 0.500
O1 0.000 0.000 0.500
O2 0.500 0.500 0.500
```